Record 1
The following is a computed powder diffractogram of K7TaS6O24. It was derived from a structure optimized by DFT (PBE), using CuKα.
Lines closer than 0.1° are merged.

Crystal structure
```
data_K7TaS6O24
_cell_length_a 15.4383
_cell_length_b 15.4383
_cell_length_c 9.4582
_cell_angle_alpha 90.00
_cell_angle_beta 90.00
_cell_angle_gamma 120.00
_space_group_name_H-M_alt 'R -3'
_space_group_IT_number 148
_space_group_name_Hall '-R 3'
loop_
_atom_site_label
_atom_site_type_symbol
_atom_site_fract_x
_atom_site_fract_y
_atom_site_fract_z
K1 K 0.0000 0.0000 0.0000
K2 K 0.0520 0.6064 0.7825
Ta1 Ta 0.0000 0.0000 0.5000
S1 S 0.0320 0.8411 0.7223
O1 O 0.0018 0.2594 0.3334
O2 O 0.0111 0.1613 0.1375
O3 O 0.0130 0.1112 0.3799
O4 O 0.0940 0.2349 0.7197
```

Principal peaks in the range 10° ≤ 2θ ≤ 90°, in order of falling intensity:
| 2θ/deg | d [Å] | I_rel | index |
| --- | --- | --- | --- |
| 25.80 | 3.453 | 100 | 1 2 2 |
| 11.46 | 7.720 | 57 | 1 1 0 |
| 30.64 | 2.918 | 43 | 4 1 0 |
| 16.24 | 5.459 | 23 | 0 2 1 |
| 19.92 | 4.457 | 22 | 2 1 1 |
| 51.61 | 1.771 | 21 | 7 1 0 |
| 42.20 | 2.141 | 21 | 3 -1 4 |
| 34.86 | 2.574 | 14 | 3 0 3 |
| 48.62 | 1.873 | 14 | 5 -2 4 |
| 40.48 | 2.229 | 13 | 4 2 2 |
| 62.51 | 1.486 | 11 | 10 -3 1 |
| 38.68 | 2.328 | 9 | 5 1 1 |

=====

Record 2
The following is a computed powder diffractogram of Cr2CdHgTe. It was derived from a structure optimized by DFT (PBE), using CuKα.
Lines closer than 0.1° are merged.

Crystal structure
```
data_Cr2CdHgTe
_cell_length_a 5.300
_cell_length_b 5.300
_cell_length_c 5.477
_cell_angle_alpha 90.00
_cell_angle_beta 90.00
_cell_angle_gamma 90.00
_space_group_name_H-M_alt 'P 4/m m m'
_space_group_IT_number 123
_space_group_name_Hall '-P 4 2'
loop_
_atom_site_label
_atom_site_type_symbol
_atom_site_fract_x
_atom_site_fract_y
_atom_site_fract_z
Cr1 Cr 0.000 0.500 0.000
Cd1 Cd 0.000 0.000 0.500
Hg1 Hg 0.500 0.500 0.000
Te1 Te 0.500 0.500 0.500
```

Principal peaks in the range 10° ≤ 2θ ≤ 90°, in order of falling intensity:
| 2θ/deg | d [Å] | I_rel | index |
| --- | --- | --- | --- |
| 33.82 | 2.650 | 100 | 2 0 0 |
| 23.74 | 3.748 | 88 | 1 1 0 |
| 16.73 | 5.300 | 79 | 1 0 0 |
| 47.76 | 1.904 | 74 | 2 0 2 |
| 23.35 | 3.809 | 61 | 1 0 1 |
| 32.70 | 2.739 | 55 | 0 0 2 |
| 40.81 | 2.211 | 44 | 1 1 2 |
| 59.80 | 1.547 | 37 | 2 2 2 |
| 48.58 | 1.874 | 35 | 2 2 0 |
| 41.51 | 2.175 | 28 | 2 1 1 |
| 36.95 | 2.433 | 23 | 1 0 2 |
| 65.27 | 1.430 | 23 | 3 1 2 |

=====

Record 3
The following is a computed powder diffractogram of Pr8DyHo2. It was derived from a structure optimized by DFT (PBE), using CuKα.
Lines closer than 0.1° are merged.

Crystal structure
```
data_Pr8DyHo2
_cell_length_a 10.501
_cell_length_b 13.696
_cell_length_c 5.527
_cell_angle_alpha 90.00
_cell_angle_beta 90.00
_cell_angle_gamma 90.00
_space_group_name_H-M_alt 'C m m m'
_space_group_IT_number 65
_space_group_name_Hall '-C 2 2'
loop_
_atom_site_label
_atom_site_type_symbol
_atom_site_fract_x
_atom_site_fract_y
_atom_site_fract_z
Pr1 Pr 0.000 0.247 0.000
Pr2 Pr 0.165 0.366 0.500
Pr3 Pr 0.166 0.000 0.000
Dy1 Dy 0.000 0.500 0.000
Ho1 Ho 0.000 0.119 0.500
```

Principal peaks in the range 10° ≤ 2θ ≤ 90°, in order of falling intensity:
| 2θ/deg | d [Å] | I_rel | index |
| --- | --- | --- | --- |
| 30.72 | 2.911 | 100 | 0 4 1 |
| 30.94 | 2.891 | 85 | 3 1 1 |
| 32.40 | 2.763 | 45 | 0 0 2 |
| 32.23 | 2.778 | 44 | 3 3 0 |
| 46.35 | 1.959 | 32 | 3 3 2 |
| 61.86 | 1.500 | 27 | 6 4 1 |
| 56.39 | 1.632 | 19 | 3 7 1 |
| 56.75 | 1.622 | 18 | 0 4 3 |
| 41.88 | 2.157 | 15 | 3 5 0 |
| 56.88 | 1.619 | 15 | 3 1 3 |
| 53.92 | 1.700 | 15 | 3 5 2 |
| 62.85 | 1.479 | 13 | 6 0 2 |

=====

Record 4
The following is a computed powder diffractogram of AgAu3. It was derived from a structure optimized by DFT (PBE), using CuKα.
Lines closer than 0.1° are merged.

Crystal structure
```
data_AgAu3
_cell_length_a 6.612
_cell_length_b 6.612
_cell_length_c 6.612
_cell_angle_alpha 90.00
_cell_angle_beta 90.00
_cell_angle_gamma 90.00
_space_group_name_H-M_alt 'F m -3 m'
_space_group_IT_number 225
_space_group_name_Hall '-F 4 2 3'
loop_
_atom_site_label
_atom_site_type_symbol
_atom_site_fract_x
_atom_site_fract_y
_atom_site_fract_z
Ag1 Ag 0.000 0.000 0.000
Au1 Au 0.000 0.000 0.500
Au2 Au 0.250 0.250 0.250
```

Principal peaks in the range 10° ≤ 2θ ≤ 90°, in order of falling intensity:
| 2θ/deg | d [Å] | I_rel | index |
| --- | --- | --- | --- |
| 38.51 | 2.338 | 100 | 2 2 0 |
| 69.67 | 1.350 | 35 | 4 2 2 |
| 55.60 | 1.653 | 17 | 4 0 0 |
| 82.53 | 1.169 | 11 | 4 4 0 |
| 23.30 | 3.817 | 3 | 1 1 1 |
| 45.50 | 1.994 | 2 | 3 1 1 |
| 26.97 | 3.306 | 2 | 2 0 0 |
| 61.09 | 1.517 | 1 | 3 3 1 |
| 62.86 | 1.478 | 1 | 4 2 0 |
| 87.23 | 1.118 | 1 | 5 3 1 |
| 74.58 | 1.272 | 1 | 5 1 1 |
| 47.64 | 1.909 | 1 | 2 2 2 |

=====

Record 5
The following is a computed powder diffractogram of Th2Sn3Hg3. It was derived from a structure optimized by DFT (PBE), using CuKα.
Lines closer than 0.1° are merged.

Crystal structure
```
data_Th2Sn3Hg3
_cell_length_a 4.745
_cell_length_b 4.776
_cell_length_c 9.265
_cell_angle_alpha 90.00
_cell_angle_beta 90.00
_cell_angle_gamma 90.00
_space_group_name_H-M_alt 'P m m m'
_space_group_IT_number 47
loop_
_space_group_symop_operation_xyz
'x,y,z'
'-x,-y,-z'
'-x,-y,z'
'x,y,-z'
'x,-y,-z'
'-x,y,z'
'-x,y,-z'
'x,-y,z'
loop_
_atom_site_label
_atom_site_type_symbol
_atom_site_fract_x
_atom_site_fract_y
_atom_site_fract_z
Th1 Th 0.000 0.000 0.245
Sn1 Sn 0.000 0.500 0.000
Sn2 Sn 0.500 0.000 0.000
Sn3 Sn 0.500 0.000 0.500
Hg1 Hg 0.000 0.500 0.500
Hg2 Hg 0.500 0.500 0.254
```

Principal peaks in the range 10° ≤ 2θ ≤ 90°, in order of falling intensity:
| 2θ/deg | d [Å] | I_rel | index |
| --- | --- | --- | --- |
| 32.89 | 2.723 | 100 | 1 1 2 |
| 37.67 | 2.388 | 17 | 0 2 0 |
| 37.93 | 2.372 | 17 | 2 0 0 |
| 38.88 | 2.316 | 16 | 0 0 4 |
| 64.99 | 1.435 | 15 | 1 3 2 |
| 65.34 | 1.428 | 14 | 3 1 2 |
| 66.63 | 1.404 | 13 | 1 1 6 |
| 68.97 | 1.362 | 12 | 2 2 4 |
| 54.53 | 1.683 | 12 | 2 2 0 |
| 55.25 | 1.663 | 12 | 0 2 4 |
| 55.44 | 1.657 | 12 | 2 0 4 |
| 89.98 | 1.090 | 7 | 3 3 2 |

=====

Record 6
The following is a computed powder diffractogram of TbCe2Mg2In2. It was derived from a structure optimized by DFT (PBE), using CuKα.
Lines closer than 0.1° are merged.

Crystal structure
```
data_TbCe2Mg2In2
_cell_length_a 4.8660
_cell_length_b 4.8660
_cell_length_c 26.6203
_cell_angle_alpha 90.00
_cell_angle_beta 90.00
_cell_angle_gamma 120.00
_space_group_name_H-M_alt 'R -3 m'
_space_group_IT_number 166
_space_group_name_Hall '-R 3 2"'
loop_
_atom_site_label
_atom_site_type_symbol
_atom_site_fract_x
_atom_site_fract_y
_atom_site_fract_z
Tb1 Tb 0.0000 0.0000 0.0000
Ce1 Ce 0.0000 0.0000 0.1430
Mg1 Mg 0.0000 0.0000 0.4075
In1 In 0.0000 0.0000 0.2694
```

Principal peaks in the range 10° ≤ 2θ ≤ 90°, in order of falling intensity:
| 2θ/deg | d [Å] | I_rel | index |
| --- | --- | --- | --- |
| 31.69 | 2.823 | 100 | 1 0 7 |
| 36.95 | 2.433 | 83 | 1 1 0 |
| 21.35 | 4.162 | 43 | 1 0 1 |
| 34.34 | 2.612 | 41 | 0 1 8 |
| 63.31 | 1.469 | 29 | 2 1 7 |
| 49.45 | 1.843 | 29 | 0 2 7 |
| 65.05 | 1.434 | 21 | 1 1 15 |
| 66.57 | 1.405 | 14 | 3 0 0 |
| 87.28 | 1.117 | 13 | 1 3 7 |
| 51.32 | 1.780 | 13 | 2 0 8 |
| 64.91 | 1.437 | 13 | 1 2 8 |
| 52.82 | 1.733 | 12 | 0 1 14 |

=====

Record 7
The following is a computed powder diffractogram of Na2MnAgCl5. It was derived from a structure optimized by DFT (PBE), using CuKα.
Lines closer than 0.1° are merged.

Crystal structure
```
data_Na2MnAgCl5
_cell_length_a 3.881
_cell_length_b 16.201
_cell_length_c 13.996
_cell_angle_alpha 90.00
_cell_angle_beta 90.00
_cell_angle_gamma 90.00
_space_group_name_H-M_alt 'C m c 21'
_space_group_IT_number 36
loop_
_space_group_symop_operation_xyz
'x,y,z'
'-x,-y,z+1/2'
'-x,y,z'
'x,-y,z+1/2'
'x+1/2,y+1/2,z'
'-x+1/2,-y+1/2,z+1/2'
'-x+1/2,y+1/2,z'
'x+1/2,-y+1/2,z+1/2'
loop_
_atom_site_label
_atom_site_type_symbol
_atom_site_fract_x
_atom_site_fract_y
_atom_site_fract_z
Na1 Na 0.000 0.069 0.000
Na2 Na 0.000 0.145 0.603
Mn1 Mn 0.000 0.247 0.371
Ag1 Ag 0.000 0.449 0.774
Cl1 Cl 0.000 0.094 0.394
Cl2 Cl 0.000 0.249 0.005
Cl3 Cl 0.000 0.265 0.751
Cl4 Cl 0.000 0.395 0.368
Cl5 Cl 0.000 0.485 0.112
```

Principal peaks in the range 10° ≤ 2θ ≤ 90°, in order of falling intensity:
| 2θ/deg | d [Å] | I_rel | index |
| --- | --- | --- | --- |
| 12.64 | 7.002 | 100 | 0 0 2 |
| 30.47 | 2.934 | 63 | 1 1 3 |
| 26.84 | 3.322 | 61 | 1 1 2 |
| 41.13 | 2.195 | 46 | 1 5 3 |
| 21.97 | 4.046 | 42 | 0 4 0 |
| 40.11 | 2.248 | 41 | 1 1 5 |
| 46.82 | 1.940 | 30 | 2 0 0 |
| 33.83 | 2.649 | 30 | 0 6 1 |
| 49.00 | 1.859 | 27 | 1 5 5 |
| 23.57 | 3.774 | 26 | 1 1 0 |
| 16.74 | 5.295 | 25 | 0 2 2 |
| 35.64 | 2.519 | 22 | 0 6 2 |

=====

Record 8
The following is a computed powder diffractogram of Pu3HgO9. It was derived from a structure optimized by DFT (PBE), using CuKα.
Lines closer than 0.1° are merged.

Crystal structure
```
data_Pu3HgO9
_cell_length_a 7.9953
_cell_length_b 7.9953
_cell_length_c 4.1165
_cell_angle_alpha 90.00
_cell_angle_beta 90.00
_cell_angle_gamma 120.00
_space_group_name_H-M_alt 'P 6/m m m'
_space_group_IT_number 191
_space_group_name_Hall '-P 6 2'
loop_
_atom_site_label
_atom_site_type_symbol
_atom_site_fract_x
_atom_site_fract_y
_atom_site_fract_z
Pu1 Pu 0.0000 0.5000 0.0000
Hg1 Hg 0.0000 0.0000 0.5000
O1 O 0.0000 0.5000 0.5000
O2 O 0.2109 0.4218 0.0000
```

Principal peaks in the range 10° ≤ 2θ ≤ 90°, in order of falling intensity:
| 2θ/deg | d [Å] | I_rel | index |
| --- | --- | --- | --- |
| 25.73 | 3.462 | 100 | 2 0 0 |
| 25.17 | 3.538 | 47 | 1 0 1 |
| 51.67 | 1.769 | 31 | 2 0 2 |
| 31.19 | 2.868 | 27 | 1 1 1 |
| 45.37 | 1.999 | 26 | 2 2 0 |
| 33.83 | 2.650 | 20 | 2 0 1 |
| 40.86 | 2.209 | 19 | 2 1 1 |
| 21.59 | 4.116 | 19 | 0 0 1 |
| 65.04 | 1.434 | 18 | 2 2 2 |
| 52.89 | 1.731 | 16 | 4 0 0 |
| 88.55 | 1.104 | 15 | 4 2 2 |
| 52.59 | 1.740 | 14 | 3 1 1 |

=====

Record 9
The following is a computed powder diffractogram of Er3Si6Ni20. It was derived from a structure optimized by DFT (PBE), using CuKα.
Lines closer than 0.1° are merged.

Crystal structure
```
data_Er3Si6Ni20
_cell_length_a 11.402
_cell_length_b 11.402
_cell_length_c 11.402
_cell_angle_alpha 90.00
_cell_angle_beta 90.00
_cell_angle_gamma 90.00
_space_group_name_H-M_alt 'F m -3 m'
_space_group_IT_number 225
_space_group_name_Hall '-F 4 2 3'
loop_
_atom_site_label
_atom_site_type_symbol
_atom_site_fract_x
_atom_site_fract_y
_atom_site_fract_z
Er1 Er 0.000 0.000 0.000
Er2 Er 0.250 0.250 0.250
Si1 Si 0.000 0.000 0.267
Ni1 Ni 0.000 0.177 0.177
Ni2 Ni 0.115 0.115 0.385
```

Principal peaks in the range 10° ≤ 2θ ≤ 90°, in order of falling intensity:
| 2θ/deg | d [Å] | I_rel | index |
| --- | --- | --- | --- |
| 41.14 | 2.194 | 100 | 3 3 3 |
| 38.69 | 2.327 | 59 | 4 2 2 |
| 44.97 | 2.016 | 54 | 4 4 0 |
| 70.02 | 1.344 | 36 | 6 6 0 |
| 35.20 | 2.550 | 27 | 4 2 0 |
| 82.98 | 1.164 | 24 | 8 4 4 |
| 53.29 | 1.719 | 17 | 6 2 2 |
| 22.05 | 4.031 | 16 | 2 2 0 |
| 71.68 | 1.317 | 14 | 5 5 5 |
| 47.16 | 1.927 | 12 | 5 3 1 |
| 25.92 | 3.438 | 12 | 3 1 1 |
| 50.63 | 1.803 | 10 | 6 2 0 |

=====

Record 10
The following is a computed powder diffractogram of Zr3Co7Ni2. It was derived from a structure optimized by DFT (PBE), using CuKα.
Lines closer than 0.1° are merged.

Crystal structure
```
data_Zr3Co7Ni2
_cell_length_a 4.8036
_cell_length_b 4.8036
_cell_length_c 24.0466
_cell_angle_alpha 90.00
_cell_angle_beta 90.00
_cell_angle_gamma 120.00
_space_group_name_H-M_alt 'R -3 m'
_space_group_IT_number 166
_space_group_name_Hall '-R 3 2"'
loop_
_atom_site_label
_atom_site_type_symbol
_atom_site_fract_x
_atom_site_fract_y
_atom_site_fract_z
Zr1 Zr 0.0000 0.0000 0.0000
Zr2 Zr 0.0000 0.0000 0.1384
Co1 Co 0.0000 0.0000 0.5000
Co2 Co 0.0023 0.5011 0.9168
Ni1 Ni 0.0000 0.0000 0.3340
```

Principal peaks in the range 10° ≤ 2θ ≤ 90°, in order of falling intensity:
| 2θ/deg | d [Å] | I_rel | index |
| --- | --- | --- | --- |
| 43.95 | 2.060 | 100 | 1 1 6 |
| 37.44 | 2.402 | 39 | 1 1 0 |
| 43.68 | 2.072 | 34 | 0 2 1 |
| 36.89 | 2.436 | 31 | 0 1 8 |
| 47.63 | 1.909 | 27 | 2 0 5 |
| 33.84 | 2.649 | 27 | 1 0 7 |
| 79.87 | 1.201 | 22 | 2 2 0 |
| 72.07 | 1.310 | 21 | 3 0 6 |
| 45.25 | 2.004 | 19 | 0 0 12 |
| 46.95 | 1.935 | 17 | 0 1 11 |
| 46.18 | 1.966 | 13 | 0 2 4 |
| 44.19 | 2.050 | 12 | 2 0 2 |

=====

Record 11
The following is a computed powder diffractogram of TlHCO2. It was derived from a structure optimized by DFT (PBE), using CuKα.
Lines closer than 0.1° are merged.

Crystal structure
```
data_TlHCO2
_cell_length_a 7.142
_cell_length_b 6.110
_cell_length_c 8.151
_cell_angle_alpha 90.00
_cell_angle_beta 90.00
_cell_angle_gamma 90.00
_space_group_name_H-M_alt 'P n a 21'
_space_group_IT_number 33
loop_
_space_group_symop_operation_xyz
'x,y,z'
'-x,-y,z+1/2'
'-x+1/2,y+1/2,z+1/2'
'x+1/2,-y+1/2,z'
loop_
_atom_site_label
_atom_site_type_symbol
_atom_site_fract_x
_atom_site_fract_y
_atom_site_fract_z
Tl1 Tl 0.002 0.039 0.000
H1 H 0.069 0.500 0.251
C1 C 0.087 0.500 0.750
O1 O 0.168 0.654 0.672
O2 O 0.170 0.347 0.827
```

Principal peaks in the range 10° ≤ 2θ ≤ 90°, in order of falling intensity:
| 2θ/deg | d [Å] | I_rel | index |
| --- | --- | --- | --- |
| 29.17 | 3.062 | 100 | 1 1 2 |
| 19.12 | 4.643 | 77 | 1 1 0 |
| 33.36 | 2.686 | 28 | 2 0 2 |
| 21.81 | 4.075 | 26 | 0 0 2 |
| 24.93 | 3.571 | 25 | 2 0 0 |
| 46.62 | 1.948 | 18 | 3 1 2 |
| 40.67 | 2.218 | 18 | 3 1 0 |
| 44.94 | 2.017 | 17 | 2 2 2 |
| 48.81 | 1.866 | 17 | 1 1 4 |
| 38.79 | 2.321 | 16 | 2 2 0 |
| 36.77 | 2.444 | 15 | 0 2 2 |
| 18.15 | 4.889 | 12 | 0 1 1 |

=====

Record 12
The following is a computed powder diffractogram of Ba3Pm4Pb4. It was derived from a structure optimized by DFT (PBE), using CuKα.
Lines closer than 0.1° are merged.

Crystal structure
```
data_Ba3Pm4Pb4
_cell_length_a 9.768
_cell_length_b 9.768
_cell_length_c 9.768
_cell_angle_alpha 90.00
_cell_angle_beta 90.00
_cell_angle_gamma 90.00
_space_group_name_H-M_alt 'I -4 3 m'
_space_group_IT_number 217
_space_group_name_Hall 'I -4 2 3'
loop_
_atom_site_label
_atom_site_type_symbol
_atom_site_fract_x
_atom_site_fract_y
_atom_site_fract_z
Ba1 Ba 0.000 0.000 0.500
Pm1 Pm 0.132 0.132 0.868
Pb1 Pb 0.187 0.187 0.187
```

Principal peaks in the range 10° ≤ 2θ ≤ 90°, in order of falling intensity:
| 2θ/deg | d [Å] | I_rel | index |
| --- | --- | --- | --- |
| 28.91 | 3.089 | 100 | 3 1 0 |
| 39.13 | 2.302 | 84 | 3 3 0 |
| 25.80 | 3.453 | 80 | 2 2 0 |
| 34.35 | 2.611 | 54 | 3 2 1 |
| 12.82 | 6.907 | 40 | 1 1 0 |
| 58.23 | 1.585 | 31 | 6 1 1 |
| 22.29 | 3.988 | 30 | 2 1 1 |
| 43.46 | 2.082 | 28 | 3 3 2 |
| 70.90 | 1.329 | 27 | 5 5 2 |
| 63.14 | 1.473 | 25 | 6 2 2 |
| 56.53 | 1.628 | 22 | 6 0 0 |
| 54.80 | 1.675 | 18 | 5 3 0 |